# 1
For La2I5, a cell relaxed with GGA-PBE gives the calculated powder X-ray diffraction pattern in this record (a wavelength of 1.5418 Å).
Peak positions follow from Bragg's law for the DFT cell and can differ from measured ones.

Principal peaks in the range 2θ from 15° to 90°, in order of rising 2θ:
25.51 deg, d = 3.492 Å, I = 84, (1 1 2)
27.03 deg, d = 3.299 Å, I = 58, (2 0 3)
27.90 deg, d = 3.198 Å, I = 66, (2 1 0)
28.29 deg, d = 3.155 Å, I = 100, (2 1 -1)
29.85 deg, d = 2.994 Å, I = 46, (0 0 5)
29.97 deg, d = 2.981 Å, I = 81, (3 0 1)
31.26 deg, d = 2.861 Å, I = 39, (0 1 4)
40.68 deg, d = 2.218 Å, I = 67, (0 2 0)

Atomic structure:
Cell lengths 9.240, 4.437, 14.996 Å; angles 90.00, 93.13, 90.00 degrees
Atoms (fractional coordinates):
La1 0.083 0.250 0.156
La2 0.405 0.750 0.346
La3 0.595 0.250 0.654
La4 0.917 0.750 0.844
I1 0.141 0.250 0.781
I2 0.153 0.250 0.375
I3 0.186 0.750 0.013
I4 0.360 0.750 0.571
I5 0.441 0.250 0.187
I6 0.559 0.750 0.813
I7 0.640 0.250 0.429
I8 0.814 0.250 0.987
I9 0.847 0.750 0.625
I10 0.859 0.750 0.219

=====

# 2
For PaZnAu2, a cell relaxed with GGA-PBE gives the calculated powder X-ray diffraction pattern in this record (a wavelength of 1.5418 Å).
Peak positions follow from Bragg's law for the DFT cell and can differ from measured ones.

Principal peaks in the range 2θ from 15° to 90°, in order of rising 2θ:
22.30 deg, d = 3.987 Å, I = 11, (1 1 1)
36.81 deg, d = 2.442 Å, I = 100, (2 2 0)
43.46 deg, d = 2.082 Å, I = 6, (3 1 1)
53.04 deg, d = 1.726 Å, I = 18, (4 0 0)
58.23 deg, d = 1.584 Å, I = 3, (3 3 1)
66.31 deg, d = 1.410 Å, I = 36, (4 2 2)
78.32 deg, d = 1.221 Å, I = 12, (4 4 0)
89.83 deg, d = 1.092 Å, I = 17, (6 2 0)

Atomic structure:
Cell lengths 6.906, 6.906, 6.906 Å; angles 90.00, 90.00, 90.00 degrees
Atoms (fractional coordinates):
Pa1 0.000 0.000 0.000
Pa2 0.000 0.500 0.500
Pa3 0.500 0.000 0.500
Pa4 0.500 0.500 0.000
Zn1 0.000 0.000 0.500
Zn2 0.000 0.500 0.000
Zn3 0.500 0.000 0.000
Zn4 0.500 0.500 0.500
Au1 0.250 0.250 0.250
Au2 0.250 0.250 0.750
Au3 0.250 0.750 0.250
Au4 0.250 0.750 0.750
Au5 0.750 0.250 0.250
Au6 0.750 0.250 0.750
Au7 0.750 0.750 0.250
Au8 0.750 0.750 0.750

=====

# 3
For Y2Cu2O5, a cell relaxed with GGA-PBE gives the calculated powder X-ray diffraction pattern in this record (a wavelength of 1.5418 Å).
Peak positions follow from Bragg's law for the DFT cell and can differ from measured ones.

Principal peaks in the range 2θ from 15° to 90°, in order of rising 2θ:
26.80 deg, d = 3.327 Å, I = 26, (2 0 3)
30.06 deg, d = 2.972 Å, I = 35, (2 1 0)
30.91 deg, d = 2.893 Å, I = 100, (2 1 1)
32.84 deg, d = 2.727 Å, I = 95, (2 0 4)
33.10 deg, d = 2.707 Å, I = 48, (0 1 3)
44.27 deg, d = 2.046 Å, I = 32, (4 1 2)
47.27 deg, d = 1.923 Å, I = 29, (4 1 3)
60.16 deg, d = 1.538 Å, I = 25, (2 1 7)

Atomic structure:
Cell lengths 10.929, 3.543, 12.581 Å; angles 90.00, 90.00, 90.00 degrees
Atoms (fractional coordinates):
Y1 0.043 0.223 0.000
Y2 0.208 0.221 0.327
Y3 0.292 0.721 0.827
Y4 0.457 0.723 0.500
Y5 0.543 0.277 0.000
Y6 0.708 0.279 0.327
Y7 0.792 0.779 0.827
Y8 0.957 0.777 0.500
Cu1 0.012 0.338 0.717
Cu2 0.238 0.158 0.611
Cu3 0.262 0.658 0.111
Cu4 0.488 0.838 0.217
Cu5 0.512 0.162 0.717
Cu6 0.738 0.342 0.611
Cu7 0.762 0.842 0.111
Cu8 0.988 0.662 0.217
O1 0.072 0.274 0.566
O2 0.076 0.729 0.355
O3 0.125 0.354 0.164
O4 0.174 0.726 0.972
O5 0.178 0.220 0.762
O6 0.322 0.720 0.262
O7 0.326 0.226 0.472
O8 0.375 0.854 0.664
O9 0.424 0.229 0.855
O10 0.428 0.774 0.066
O11 0.572 0.226 0.566
O12 0.576 0.771 0.355
O13 0.625 0.146 0.164
O14 0.674 0.774 0.972
O15 0.678 0.280 0.762
O16 0.822 0.780 0.262
O17 0.826 0.274 0.472
O18 0.875 0.646 0.664
O19 0.924 0.271 0.855
O20 0.928 0.726 0.066

=====

# 4
For InBiO3, a cell relaxed with GGA-PBE gives the calculated powder X-ray diffraction pattern in this record (a wavelength of 1.5418 Å).
Peak positions follow from Bragg's law for the DFT cell and can differ from measured ones.

Principal peaks in the range 2θ from 15° to 90°, in order of rising 2θ:
30.29 deg, d = 2.951 Å, I = 100, (1 1 0)
37.33 deg, d = 2.409 Å, I = 8, (1 1 1)
43.37 deg, d = 2.086 Å, I = 28, (2 0 0)
53.81 deg, d = 1.704 Å, I = 41, (2 1 1)
63.01 deg, d = 1.475 Å, I = 18, (2 2 0)
71.50 deg, d = 1.320 Å, I = 18, (3 1 0)
79.58 deg, d = 1.205 Å, I = 6, (2 2 2)
87.46 deg, d = 1.115 Å, I = 23, (3 2 1)

Atomic structure:
Cell lengths 4.173, 4.173, 4.173 Å; angles 90.00, 90.00, 90.00 degrees
Atoms (fractional coordinates):
In1 0.000 0.000 0.000
Bi1 0.500 0.500 0.500
O1 0.000 0.000 0.500
O2 0.000 0.500 0.000
O3 0.500 0.000 0.000

=====

# 5
For YCl, a cell relaxed with GGA-PBE gives the calculated powder X-ray diffraction pattern in this record (a wavelength of 1.5418 Å).
Peak positions follow from Bragg's law for the DFT cell and can differ from measured ones.

Principal peaks in the range 2θ from 15° to 90°, in order of rising 2θ:
18.82 deg, d = 4.716 Å, I = 21, (0 0 6)
28.08 deg, d = 3.177 Å, I = 63, (0 1 2)
31.67 deg, d = 2.825 Å, I = 100, (0 1 5)
35.37 deg, d = 2.538 Å, I = 53, (1 0 7)
42.29 deg, d = 2.137 Å, I = 19, (1 0 10)
44.88 deg, d = 2.020 Å, I = 15, (0 1 11)
48.35 deg, d = 1.882 Å, I = 36, (1 1 0)
63.20 deg, d = 1.471 Å, I = 16, (1 1 12)

Atomic structure:
Cell lengths 3.765, 3.765, 28.297 Å; angles 90.00, 90.00, 120.00 degrees
Atoms (fractional coordinates):
Y1 0.000 0.000 0.216
Y2 0.000 0.000 0.784
Y3 0.333 0.667 0.450
Y4 0.333 0.667 0.883
Y5 0.667 0.333 0.117
Y6 0.667 0.333 0.550
Cl1 0.000 0.000 0.389
Cl2 0.000 0.000 0.611
Cl3 0.333 0.667 0.056
Cl4 0.333 0.667 0.277
Cl5 0.667 0.333 0.723
Cl6 0.667 0.333 0.944

=====

# 6
For AlFe3B, a cell relaxed with GGA-PBE gives the calculated powder X-ray diffraction pattern in this record (a wavelength of 1.5418 Å).
Peak positions follow from Bragg's law for the DFT cell and can differ from measured ones.

Principal peaks in the range 2θ from 15° to 90°, in order of rising 2θ:
23.27 deg, d = 3.822 Å, I = 15, (1 0 0)
33.15 deg, d = 2.703 Å, I = 4, (1 1 0)
40.89 deg, d = 2.207 Å, I = 100, (1 1 1)
47.58 deg, d = 1.911 Å, I = 54, (2 0 0)
53.61 deg, d = 1.709 Å, I = 5, (2 1 0)
69.56 deg, d = 1.351 Å, I = 32, (2 2 0)
83.97 deg, d = 1.152 Å, I = 32, (3 1 1)
88.64 deg, d = 1.103 Å, I = 11, (2 2 2)

Atomic structure:
Cell lengths 3.822, 3.822, 3.822 Å; angles 90.00, 90.00, 90.00 degrees
Atoms (fractional coordinates):
Al1 0.000 0.000 0.000
Fe1 0.000 0.500 0.500
Fe2 0.500 0.000 0.500
Fe3 0.500 0.500 0.000
B1 0.500 0.500 0.500